Diffraction record for Sm4Y8Th. The powder diffraction line list is theoretical, not measured: it uses a DFT-relaxed cell (PBE, Alexandria) and λ = 1.5418 Å (Cu Kα).

Atomic structure:
Cell: 7.8233 7.7912 7.8542 Å, 90.00 90.08 90.00°
Space group P2/m (No. 10)
One atom of each set of equivalent atoms:
Sm1 0.0000 0.0000 0.0000 (multiplicity 1)
Sm2 0.0000 0.5000 0.5000 (multiplicity 1)
Sm3 0.5000 0.0000 0.5000 (multiplicity 1)
Sm4 0.5000 0.5000 0.0000 (multiplicity 1)
Y1 0.2407 0.2418 0.2402 (multiplicity 4)
Y2 0.2413 0.2418 0.7593 (multiplicity 4)
Th1 0.5000 0.5000 0.5000 (multiplicity 1)

Principal peaks in the range 5 to 70 degrees two-theta, in order of rising 2θ:
| d [Å] | two_theta | I (rel.) | (hkl) |
| --- | --- | --- | --- |
| 7.822 | 11.31 | 12 | 0 1 0 |
| 5.532 | 16.02 | 17 | 1 0 1 |
| 4.516 | 19.66 | 21 | 1 1 1 |
| 2.769 | 32.34 | 100 | 2 0 2 |
| 2.760 | 32.44 | 50 | 2 2 0 |
| 1.964 | 46.23 | 9 | 0 0 4 |
| 1.956 | 46.43 | 9 | 4 0 0 |
| 1.600 | 57.61 | 18 | 2 2 -4 |
| 1.597 | 57.73 | 18 | 4 2 -2 |
| 1.594 | 57.86 | 18 | 2 4 2 |

---

Diffraction record for LaU2Tl3Se6. The powder diffraction line list is theoretical, not measured: it uses a DFT-relaxed cell (PBE, Alexandria) and λ = 1.5418 Å (Cu Kα).

Atomic structure:
Cell: 7.3933 12.7998 8.1827 Å, 90.00 107.53 90.00°
Space group C2/m (No. 12)
One atom of each set of equivalent atoms:
La1 0.0000 0.0000 0.0000 (multiplicity 2)
U1 0.0000 0.3329 0.0000 (multiplicity 4)
Tl1 0.0000 0.1646 0.5000 (multiplicity 4)
Tl2 0.0000 0.5000 0.5000 (multiplicity 2)
Se1 0.2225 0.5000 0.2055 (multiplicity 4)
Se2 0.2427 0.1728 0.2084 (multiplicity 8)

Principal peaks in the range 5 to 70 degrees two-theta, in order of rising 2θ:
| d [Å] | two_theta | I (rel.) | (hkl) |
| --- | --- | --- | --- |
| 3.901 | 22.79 | 13 | 0 0 2 |
| 3.524 | 25.27 | 26 | 2 0 0 |
| 3.125 | 28.57 | 100 | 1 3 1 |
| 2.294 | 39.27 | 39 | 2 0 2 |
| 2.134 | 42.36 | 36 | 0 6 0 |
| 1.872 | 48.64 | 11 | 3 3 1 |
| 1.762 | 51.89 | 19 | 4 0 0 |
| 1.562 | 59.13 | 12 | 4 0 -4 |
| 1.440 | 64.75 | 15 | 3 3 3 |
| 1.359 | 69.10 | 16 | 5 3 -3 |

---

Diffraction record for GaTeMo. The powder diffraction line list is theoretical, not measured: it uses a DFT-relaxed cell (PBE, Alexandria) and λ = 1.5418 Å (Cu Kα).

Atomic structure:
Cell: 5.4195 12.3486 7.4597 Å, 90.00 90.00 90.00°
Space group Cmce (No. 64)
One atom of each set of equivalent atoms:
Ga1 0.2500 0.0628 0.2500 (multiplicity 8)
Te1 0.0000 0.1754 0.6037 (multiplicity 8)
Mo1 0.0000 0.1014 0.9691 (multiplicity 8)

Principal peaks in the range 5 to 70 degrees two-theta, in order of rising 2θ:
| d [Å] | two_theta | I (rel.) | (hkl) |
| --- | --- | --- | --- |
| 3.087 | 28.92 | 36 | 0 4 0 |
| 3.001 | 29.77 | 39 | 1 3 1 |
| 2.982 | 29.97 | 65 | 1 1 2 |
| 2.853 | 31.36 | 74 | 0 4 1 |
| 2.710 | 33.06 | 39 | 2 0 0 |
| 2.354 | 38.23 | 81 | 2 2 1 |
| 2.307 | 39.05 | 86 | 0 2 3 |
| 2.192 | 41.18 | 74 | 2 0 2 |
| 2.152 | 41.99 | 100 | 1 5 1 |
| 1.786 | 51.14 | 33 | 0 2 4 |

---

Diffraction record for TlH6IrPd. The powder diffraction line list is theoretical, not measured: it uses a DFT-relaxed cell (PBE, Alexandria) and λ = 1.5418 Å (Cu Kα).

Atomic structure:
Cell: 4.8677 5.0150 5.3053 Å, 66.80 63.75 64.44°
Space group P1 (No. 1)
One atom of each set of equivalent atoms:
Tl1 0.0000 0.0000 0.0000 (multiplicity 1)
H1 0.2400 0.1570 0.3893 (multiplicity 1)
H2 0.3493 0.5991 0.7396 (multiplicity 1)
H3 0.4468 0.7533 0.2935 (multiplicity 1)
H4 0.5553 0.1884 0.5259 (multiplicity 1)
H5 0.7801 0.7746 0.7004 (multiplicity 1)
H6 0.8173 0.5213 0.4729 (multiplicity 1)
Ir1 0.5336 0.8651 0.5031 (multiplicity 1)
Pd1 0.1686 0.4912 0.5519 (multiplicity 1)

Principal peaks in the range 5 to 70 degrees two-theta, in order of rising 2θ:
| d [Å] | two_theta | I (rel.) | (hkl) |
| --- | --- | --- | --- |
| 4.379 | 20.28 | 57 | 0 1 0 |
| 3.960 | 22.45 | 100 | 1 1 1 |
| 3.756 | 23.69 | 83 | 1 0 1 |
| 3.667 | 24.27 | 35 | 0 1 1 |
| 2.493 | 36.03 | 25 | 1 2 1 |
| 2.342 | 38.44 | 64 | 1 1 -1 |
| 2.303 | 39.12 | 39 | 0 0 2 |
| 2.229 | 40.47 | 30 | -1 1 1 |
| 2.152 | 41.99 | 29 | 2 1 0 |
| 2.146 | 42.11 | 33 | 2 1 2 |

---

Diffraction record for Ca10Bi3Pb3. The powder diffraction line list is theoretical, not measured: it uses a DFT-relaxed cell (PBE, Alexandria) and λ = 1.5418 Å (Cu Kα).

Atomic structure:
Cell: 9.3784 9.3784 7.0415 Å, 90.00 90.00 120.00°
Space group P-62m (No. 189)
One atom of each set of equivalent atoms:
Ca1 0.0000 0.2720 0.0000 (multiplicity 3)
Ca2 0.0000 0.7267 0.5000 (multiplicity 3)
Ca3 0.3333 0.6667 0.2425 (multiplicity 4)
Bi1 0.0000 0.3798 0.5000 (multiplicity 3)
Pb1 0.0000 0.6229 0.0000 (multiplicity 3)

Principal peaks in the range 5 to 70 degrees two-theta, in order of rising 2θ:
| d [Å] | two_theta | I (rel.) | (hkl) |
| --- | --- | --- | --- |
| 4.689 | 18.93 | 32 | 1 1 0 |
| 3.903 | 22.78 | 99 | 1 1 1 |
| 3.521 | 25.30 | 37 | 0 0 2 |
| 2.815 | 31.79 | 100 | 1 1 2 |
| 2.707 | 33.09 | 53 | 3 0 0 |
| 2.146 | 42.11 | 61 | 3 0 2 |
| 2.099 | 43.10 | 20 | 1 1 3 |
| 1.625 | 56.64 | 19 | 5 0 0 |
| 1.500 | 61.87 | 19 | 4 2 1 |
| 1.475 | 63.00 | 29 | 3 0 4 |

---

Diffraction record for NaMgTlO3. The powder diffraction line list is theoretical, not measured: it uses a DFT-relaxed cell (PBE, Alexandria) and λ = 1.5418 Å (Cu Kα).

Atomic structure:
Cell: 5.5904 3.2801 8.0845 Å, 90.00 91.16 90.00°
Space group P2_1/m (No. 11)
One atom of each set of equivalent atoms:
Na1 0.0837 0.2500 0.1728 (multiplicity 2)
Mg1 0.2400 0.7500 0.4988 (multiplicity 2)
Tl1 0.4087 0.2500 0.8216 (multiplicity 2)
O1 0.0958 0.2500 0.6356 (multiplicity 2)
O2 0.2669 0.7500 0.9953 (multiplicity 2)
O3 0.4280 0.2500 0.3547 (multiplicity 2)

Principal peaks in the range 5 to 70 degrees two-theta, in order of rising 2θ:
| d [Å] | two_theta | I (rel.) | (hkl) |
| --- | --- | --- | --- |
| 8.083 | 10.95 | 44 | 0 0 1 |
| 5.589 | 15.86 | 100 | 1 0 0 |
| 4.641 | 19.12 | 72 | 1 0 -1 |
| 3.244 | 27.50 | 35 | 1 0 2 |
| 3.039 | 29.39 | 53 | 0 1 1 |
| 2.694 | 33.25 | 31 | 0 0 3 |
| 2.660 | 33.69 | 89 | 2 0 -1 |
| 2.329 | 38.66 | 91 | 1 1 -2 |
| 2.277 | 39.58 | 41 | 2 0 2 |
| 1.620 | 56.83 | 31 | 3 1 0 |